# 1
For HgMo2, DFT lattice parameters and positions (PBE) gives the simulated PXRD pattern in this record (Cu Kα).

```
data_HgMo2
_symmetry_space_group_name_H-M 'P 1'
_symmetry_Int_Tables_number 1
_symmetry_space_group_name_Hall 'P 1'
_cell_length_a 5.8093
_cell_length_b 4.2563
_cell_length_c 8.6143
_cell_angle_alpha 90.00
_cell_angle_beta 90.00
_cell_angle_gamma 90.00
loop_
_atom_site_label
_atom_site_type_symbol
_atom_site_fract_x
_atom_site_fract_y
_atom_site_fract_z
Hg1 Hg 0.1280 0.2500 0.0841
Hg2 Hg 0.3720 0.7500 0.5841
Hg3 Hg 0.6280 0.2500 0.4159
Hg4 Hg 0.8720 0.7500 0.9159
Mo1 Mo 0.0720 0.2500 0.7102
Mo2 Mo 0.1281 0.2500 0.4138
Mo3 Mo 0.3719 0.7500 0.9138
Mo4 Mo 0.4280 0.7500 0.2102
Mo5 Mo 0.5720 0.2500 0.7898
Mo6 Mo 0.6281 0.2500 0.0862
Mo7 Mo 0.8719 0.7500 0.5862
Mo8 Mo 0.9280 0.7500 0.2898
```

Top 10 peaks for 2θ = 10–90°, in order of rising 2θ:
d [Å], I/Imax, index
2.685, 207, 1 1 2
2.399, 1000, 2 1 0
2.380, 950, 0 1 3
2.128, 392, 0 2 0
2.042, 553, 2 0 3
1.473, 386, 2 2 3
1.275, 135, 2 3 0
1.272, 130, 0 3 3
1.240, 176, 4 1 3
1.232, 200, 2 1 6

# 2
For HgMo, DFT lattice parameters and positions (PBE) gives the simulated PXRD pattern in this record (Cu Kα).

```
data_HgMo
_symmetry_space_group_name_H-M 'P 1'
_symmetry_Int_Tables_number 1
_symmetry_space_group_name_Hall 'P 1'
_cell_length_a 8.7128
_cell_length_b 8.7128
_cell_length_c 4.4578
_cell_angle_alpha 90.00
_cell_angle_beta 90.00
_cell_angle_gamma 90.00
loop_
_atom_site_label
_atom_site_type_symbol
_atom_site_fract_x
_atom_site_fract_y
_atom_site_fract_z
Hg1 Hg 0.1454 0.1827 0.0000
Hg2 Hg 0.1827 0.8546 0.0000
Hg3 Hg 0.3173 0.3546 0.5000
Hg4 Hg 0.3546 0.6827 0.5000
Hg5 Hg 0.6454 0.3173 0.5000
Hg6 Hg 0.6827 0.6454 0.5000
Hg7 Hg 0.8173 0.1454 0.0000
Hg8 Hg 0.8546 0.8173 0.0000
Mo1 Mo 0.0278 0.6340 0.5000
Mo2 Mo 0.1340 0.5278 0.0000
Mo3 Mo 0.3660 0.0278 0.5000
Mo4 Mo 0.4722 0.1340 0.0000
Mo5 Mo 0.5278 0.8660 0.0000
Mo6 Mo 0.6340 0.9722 0.5000
Mo7 Mo 0.8660 0.4722 0.0000
Mo8 Mo 0.9722 0.3660 0.5000
```

Top 10 peaks for 2θ = 10–90°, in order of rising 2θ:
d [Å], I/Imax, index
3.969, 357, 1 0 1
2.755, 139, 3 1 0
2.433, 1000, 3 0 1
2.416, 114, 3 2 0
2.344, 130, 3 1 1
2.229, 237, 0 0 2
2.054, 251, 3 3 0
1.510, 188, 3 3 2
1.323, 148, 3 0 3
1.316, 110, 6 2 1

# 3
For HgMo3, DFT lattice parameters and positions (PBE) gives the simulated PXRD pattern in this record (Cu Kα).

```
data_HgMo3
_symmetry_space_group_name_H-M 'P 1'
_symmetry_Int_Tables_number 1
_symmetry_space_group_name_Hall 'P 1'
_cell_length_a 9.2428
_cell_length_b 9.2428
_cell_length_c 2.7408
_cell_angle_alpha 90.00
_cell_angle_beta 90.00
_cell_angle_gamma 120.00
loop_
_atom_site_label
_atom_site_type_symbol
_atom_site_fract_x
_atom_site_fract_y
_atom_site_fract_z
Hg1 Hg 0.0000 0.0000 0.0000
Hg2 Hg 0.3333 0.6667 0.6667
Hg3 Hg 0.6667 0.3333 0.3333
Mo1 Mo 0.0000 0.5000 0.0000
Mo2 Mo 0.1667 0.3333 0.3333
Mo3 Mo 0.1667 0.8333 0.3333
Mo4 Mo 0.3333 0.1667 0.6667
Mo5 Mo 0.5000 0.0000 0.0000
Mo6 Mo 0.5000 0.5000 0.0000
Mo7 Mo 0.6667 0.8333 0.3333
Mo8 Mo 0.8333 0.1667 0.6667
Mo9 Mo 0.8333 0.6667 0.6667
```

Top 10 peaks for 2θ = 10–90°, in order of rising 2θ:
d [Å], I/Imax, index
4.621, 233, 1 1 0
2.668, 64, 3 0 0
2.311, 1000, 2 2 0
2.261, 938, 0 2 1
1.616, 324, 4 0 1
1.334, 172, 6 0 0
1.324, 335, 2 4 1
1.297, 157, 2 0 2
1.155, 112, 4 4 0
1.131, 106, 0 4 2

# 4
For NiHgMo2, DFT lattice parameters and positions (PBE) gives the simulated PXRD pattern in this record (Cu Kα).

```
data_NiHgMo2
_symmetry_space_group_name_H-M 'P 1'
_symmetry_Int_Tables_number 1
_symmetry_space_group_name_Hall 'P 1'
_cell_length_a 3.3649
_cell_length_b 4.3892
_cell_length_c 8.6573
_cell_angle_alpha 90.00
_cell_angle_beta 90.00
_cell_angle_gamma 90.00
loop_
_atom_site_label
_atom_site_type_symbol
_atom_site_fract_x
_atom_site_fract_y
_atom_site_fract_z
Ni1 Ni 0.0000 0.0000 0.0000
Ni2 Ni 0.5000 0.5000 0.0000
Hg1 Hg 0.0000 0.5000 0.2518
Hg2 Hg 0.5000 0.0000 0.2518
Mo1 Mo 0.0000 0.0000 0.5374
Mo2 Mo 0.0000 0.5000 0.7871
Mo3 Mo 0.5000 0.0000 0.7871
Mo4 Mo 0.5000 0.5000 0.5374
```

Top 10 peaks for 2θ = 10–90°, in order of rising 2θ:
d [Å], I/Imax, index
8.657, 170, 0 0 1
4.329, 115, 0 0 2
2.552, 130, 1 1 1
2.273, 1000, 1 1 2
2.195, 237, 0 2 0
2.164, 185, 0 0 4
1.682, 141, 2 0 0
1.541, 124, 0 2 4
1.453, 105, 1 1 5
1.282, 157, 1 3 2

# 5
For NiHgMo, DFT lattice parameters and positions (PBE) gives the simulated PXRD pattern in this record (Cu Kα).

```
data_NiHgMo
_symmetry_space_group_name_H-M 'P 1'
_symmetry_Int_Tables_number 1
_symmetry_space_group_name_Hall 'P 1'
_cell_length_a 3.1186
_cell_length_b 3.1318
_cell_length_c 10.5021
_cell_angle_alpha 97.79
_cell_angle_beta 91.16
_cell_angle_gamma 90.14
loop_
_atom_site_label
_atom_site_type_symbol
_atom_site_fract_x
_atom_site_fract_y
_atom_site_fract_z
Ni1 Ni 0.0000 0.0000 0.0000
Ni2 Ni 0.4994 0.4455 0.8821
Hg1 Hg 0.4581 0.7196 0.4758
Hg2 Hg 0.9902 0.8731 0.7265
Mo1 Mo 0.5173 0.5567 0.1286
Mo2 Mo 0.9186 0.1289 0.2752
```

Top 10 peaks for 2θ = 10–90°, in order of rising 2θ:
d [Å], I/Imax, index
3.103, 364, 0 1 0
3.090, 422, 0 1 -1
2.699, 502, 1 0 -2
2.650, 480, 1 0 2
2.601, 358, 0 0 4
2.343, 558, 1 0 -3
2.295, 353, 1 0 3
2.194, 1000, 1 1 0
2.171, 667, 0 1 3
2.141, 602, 0 1 -4